(1)
Starting from a cell relaxed with PBE, the powder diffractogram of SrZnRuO6 was calculated for Cu Kα (weighted mean of Kα1 and Kα2).
Kinematic intensities with the Lorentz-polarization factor, no thermal factor.

Peak list (10 most intense, 5° ≤ 2θ ≤ 70°, in order of rising 2θ)
2θ 16.93, d = 5.237 Å, rel. 29; 2θ 25.27, d = 3.525 Å, rel. 100; 2θ 26.58, d = 3.354 Å, rel. 51; 2θ 33.09, d = 2.707 Å, rel. 41; 2θ 34.60, d = 2.593 Å, rel. 14; 2θ 36.91, d = 2.435 Å, rel. 14; 2θ 41.67, d = 2.167 Å, rel. 14; 2θ 47.58, d = 1.911 Å, rel. 29; 2θ 49.12, d = 1.855 Å, rel. 16; 2θ 61.04, d = 1.518 Å, rel. 14

```
9
Lattice="2.597 -4.762 0.000 2.597 4.762 0.000 -0.301 0.000 5.237" Properties=species:S:1:pos:R:3 pbc="T T T"
Sr 0.000 0.000 0.000
Zn 2.446 -1.414 2.619
Ru 2.446 1.654 2.619
O 1.135 2.022 1.413
O 1.653 0.335 3.625
O 0.870 -1.657 1.593
O 3.758 2.022 3.824
O 3.239 0.335 1.612
O 4.022 -1.657 3.645
```

---

(2)
Starting from a cell relaxed with PBE, the powder diffractogram of Sr3ZnRu2O9 was calculated for Cu Kα (weighted mean of Kα1 and Kα2).
Kinematic intensities with the Lorentz-polarization factor, no thermal factor.

Peak list (9 most intense, 5° ≤ 2θ ≤ 70°, in order of rising 2θ)
2θ 18.20, d = 4.875 Å, rel. 1; 2θ 22.33, d = 3.981 Å, rel. 4; 2θ 31.79, d = 2.815 Å, rel. 100; 2θ 39.19, d = 2.298 Å, rel. 3; 2θ 45.57, d = 1.991 Å, rel. 34; 2θ 51.32, d = 1.780 Å, rel. 1; 2θ 56.63, d = 1.625 Å, rel. 39; 2θ 63.24, d = 1.470 Å, rel. 1; 2θ 66.42, d = 1.408 Å, rel. 20

```
15
Lattice="5.629 0.000 0.000 -2.815 4.875 0.000 0.000 0.000 6.898" Properties=species:S:1:pos:R:3 pbc="T T T"
Sr 0.000 0.000 0.000
Sr 0.000 3.250 4.490
Sr 2.815 1.625 2.408
Zn 0.000 0.000 3.449
Ru 0.000 3.250 1.116
Ru 2.815 1.625 5.782
O -1.407 2.437 0.000
O 0.000 1.675 2.247
O -1.364 4.037 2.247
O 1.451 0.838 4.651
O 2.815 0.000 0.000
O 1.407 2.437 0.000
O 1.364 4.037 2.247
O 4.178 0.838 4.651
O 2.815 3.200 4.651
```

---

(3)
Starting from a cell relaxed with PBE, the powder diffractogram of Sr2ZrRu3O12 was calculated for Cu Kα (weighted mean of Kα1 and Kα2).
Kinematic intensities with the Lorentz-polarization factor, no thermal factor.

Peak list (10 most intense, 5° ≤ 2θ ≤ 70°, in order of rising 2θ)
2θ 14.86, d = 5.963 Å, rel. 70; 2θ 17.03, d = 5.207 Å, rel. 34; 2θ 28.49, d = 3.133 Å, rel. 100; 2θ 28.75, d = 3.105 Å, rel. 37; 2θ 28.95, d = 3.084 Å, rel. 35; 2θ 29.97, d = 2.982 Å, rel. 24; 2θ 34.45, d = 2.603 Å, rel. 21; 2θ 45.64, d = 1.988 Å, rel. 32; 2θ 50.17, d = 1.818 Å, rel. 37; 2θ 58.97, d = 1.566 Å, rel. 23

```
18
Lattice="3.637 2.100 6.168 -3.637 2.100 6.168 0.000 -4.199 6.168" Properties=species:S:1:pos:R:3 pbc="T T T"
Sr 0.000 0.000 3.593
Sr 0.000 0.000 14.911
Zr 0.000 0.000 9.252
Ru -1.818 -1.050 6.168
Ru -1.818 1.050 12.336
Ru 0.000 2.100 6.168
O -1.573 -0.908 8.143
O 0.000 -1.566 5.942
O -1.356 0.783 5.942
O 0.000 -1.816 10.361
O -1.573 0.908 10.361
O -1.356 -0.783 12.562
O 1.356 0.783 5.942
O 1.573 -0.908 8.143
O 0.000 1.816 8.143
O 1.356 -0.783 12.562
O 0.000 1.566 12.562
O 1.573 0.908 10.361
```